Entry 1:
Starting from a DFT-relaxed cell (PBE, Alexandria), the powder X-ray diffraction pattern of Cs2ZrBr2F4 was simulated for Cu Kα (λ = 1.5418 Å).
Kinematic intensities with the Lorentz-polarization factor, no thermal factor.

Most intense lines, 2θ from 10° to 80°, sorted by position:
2θ/deg  intensity
24.0  100.0
25.4  38.6
30.7  72.9
34.2  60.7
45.6  26.9
52.2  27.8

Cell and atoms:
a b c (Å): 7.0504 7.0504 7.0504
angles (deg): 116.64 116.64 95.93
Element x y z (fractional)
Cs1 0.2500 0.7500 0.5000
Cs2 0.7500 0.2500 0.5000
Zr1 0.0000 0.0000 0.0000
Br1 0.2854 0.2854 0.0000
Br2 0.7146 0.7146 0.0000
F1 0.1935 0.1935 0.3870
F2 0.1935 0.8065 0.0000
F3 0.8065 0.1935 0.0000
F4 0.8065 0.8065 0.6130

---

Entry 2:
Starting from a DFT-relaxed cell (PBE, Alexandria), the powder X-ray diffraction pattern of Sc3RhAu2 was simulated for Cu Kα (λ = 1.5418 Å).
Kinematic intensities with the Lorentz-polarization factor, no thermal factor.

Most intense lines, 2θ from 10° to 80°, sorted by position:
2θ/deg  intensity
26.6  41.8
38.0  100.0
47.0  12.8
54.8  11.4
61.9  17.3
68.6  33.6

Cell and atoms:
a b c (Å): 3.3476 3.3476 10.0604
angles (deg): 90.00 90.00 90.00
Element x y z (fractional)
Sc1 0.0000 0.0000 0.0000
Sc2 0.0000 0.0000 0.3457
Sc3 0.0000 0.0000 0.6543
Rh1 0.5000 0.5000 0.5000
Au1 0.5000 0.5000 0.1731
Au2 0.5000 0.5000 0.8269

---

Entry 3:
Starting from a DFT-relaxed cell (PBE, Alexandria), the powder X-ray diffraction pattern of LiU3Ag3Se8 was simulated for Cu Kα (λ = 1.5418 Å).
Kinematic intensities with the Lorentz-polarization factor, no thermal factor.

Most intense lines, 2θ from 10° to 80°, sorted by position:
2θ/deg  intensity
15.5  21.5
31.3  100.0
43.8  39.6
45.9  34.6
54.8  20.3
72.7  17.7

Cell and atoms:
a b c (Å): 7.9257 7.9257 7.9257
angles (deg): 62.83 62.83 62.83
Element x y z (fractional)
Li1 0.0000 0.0000 0.0000
U1 0.0000 0.5000 0.5000
U2 0.5000 0.0000 0.5000
U3 0.5000 0.5000 0.0000
Ag1 0.0000 0.0000 0.5000
Ag2 0.0000 0.5000 0.0000
Ag3 0.5000 0.0000 0.0000
Se1 0.2483 0.2483 0.7421
Se2 0.2483 0.7421 0.2483
Se3 0.2487 0.2487 0.2487
Se4 0.2579 0.7517 0.7517
Se5 0.7421 0.2483 0.2483
Se6 0.7513 0.7513 0.7513
Se7 0.7517 0.2579 0.7517
Se8 0.7517 0.7517 0.2579

---

Entry 4:
Starting from a DFT-relaxed cell (PBE, Alexandria), the powder X-ray diffraction pattern of TaCr5 was simulated for Cu Kα (λ = 1.5418 Å).
Kinematic intensities with the Lorentz-polarization factor, no thermal factor.

Most intense lines, 2θ from 10° to 80°, sorted by position:
2θ/deg  intensity
15.8  25.2
32.0  26.7
43.4  100.0
43.6  99.6
79.8  19.9
79.9  19.8

Cell and atoms:
a b c (Å): 9.2814 2.9426 5.8950
angles (deg): 90.00 108.29 90.00
Element x y z (fractional)
Ta1 0.0000 0.0000 0.0000
Ta2 0.5000 0.5000 0.0000
Cr1 0.0000 0.0000 0.5000
Cr2 0.1695 0.5000 0.8235
Cr3 0.1731 0.5000 0.3453
Cr4 0.3269 0.0000 0.6547
Cr5 0.3305 0.0000 0.1765
Cr6 0.5000 0.5000 0.5000
Cr7 0.6695 0.0000 0.8235
Cr8 0.6731 0.0000 0.3453
Cr9 0.8269 0.5000 0.6547
Cr10 0.8305 0.5000 0.1765

---

Entry 5:
Starting from a DFT-relaxed cell (PBE, Alexandria), the powder X-ray diffraction pattern of Ac2Al4IrPd3 was simulated for Cu Kα (λ = 1.5418 Å).
Kinematic intensities with the Lorentz-polarization factor, no thermal factor.

Most intense lines, 2θ from 10° to 80°, sorted by position:
2θ/deg  intensity
21.7  29.1
32.8  64.3
33.2  100.0
40.4  54.0
48.5  28.3
53.0  33.9

Cell and atoms:
a b c (Å): 4.4656 4.4656 10.3382
angles (deg): 90.00 90.00 90.00
Element x y z (fractional)
Ac1 0.0000 0.5000 0.2441
Ac2 0.5000 0.0000 0.7559
Al1 0.0000 0.0000 0.5000
Al2 0.0000 0.5000 0.8840
Al3 0.5000 0.0000 0.1160
Al4 0.5000 0.5000 0.5000
Ir1 0.5000 0.5000 0.0000
Pd1 0.0000 0.0000 0.0000
Pd2 0.0000 0.5000 0.6293
Pd3 0.5000 0.0000 0.3707

---

Entry 6:
Starting from a DFT-relaxed cell (PBE, Alexandria), the powder X-ray diffraction pattern of TbCeB12 was simulated for Cu Kα (λ = 1.5418 Å).
Kinematic intensities with the Lorentz-polarization factor, no thermal factor.

Most intense lines, 2θ from 10° to 80°, sorted by position:
2θ/deg  intensity
21.6  66.9
30.8  100.0
37.9  42.3
49.6  49.8
54.7  27.6
68.5  27.8

Cell and atoms:
a b c (Å): 4.1086 4.1086 8.2204
angles (deg): 90.00 90.00 90.00
Element x y z (fractional)
Tb1 0.0000 0.0000 0.0000
Ce1 0.0000 0.0000 0.5000
B1 0.1988 0.5000 0.2488
B2 0.1988 0.5000 0.7512
B3 0.5000 0.1988 0.2488
B4 0.5000 0.1988 0.7512
B5 0.5000 0.5000 0.0988
B6 0.5000 0.5000 0.4002
B7 0.5000 0.5000 0.5998
B8 0.5000 0.5000 0.9012
B9 0.5000 0.8012 0.2488
B10 0.5000 0.8012 0.7512
B11 0.8012 0.5000 0.2488
B12 0.8012 0.5000 0.7512